# Hf2NiO2
Simulated XRD peak list, copper Kα. Input: DFT lattice parameters and positions (GGA+U).
Intensities are scaled so that the largest is 100.

Atomic structure:
Cell lengths 3.997, 3.997, 4.603 Å; angles 90.00, 90.00, 90.00 degrees
Atoms (fractional coordinates):
Hf 0.000 0.000 0.000
Hf 0.500 0.500 0.000
Ni 0.000 0.000 0.500
O 0.000 0.500 0.500
O 0.500 0.000 0.500

Principal peaks in the range 10° ≤ 2θ ≤ 80°, sorted by position:
(hkl)  2theta  Rel. int.
0 0 1  19.28  70
1 1 0  31.66  100
1 1 1  37.33  89
0 0 2  39.14  39
2 0 0  45.38  53
2 0 1  49.74  26
1 1 2  51.18  55
2 0 2  61.44  40
2 2 0  66.13  17
3 1 0  75.17  18
3 1 1  78.47  21
2 2 2  79.60  19